# YMn2ZnTe
Simulated X-ray diffraction stick pattern, CuKα. Input: the PBE geometry in Alexandria.
Neutral-atom scattering factors, no anomalous dispersion.

Structural model:
```
data_YMn2ZnTe
_cell_length_a 4.6838
_cell_length_b 4.6838
_cell_length_c 5.4107
_cell_angle_alpha 90.00
_cell_angle_beta 90.00
_cell_angle_gamma 90.00
_symmetry_space_group_name_H-M 'P 1'
_symmetry_Int_Tables_number 1
_symmetry_space_group_name_Hall 'P 1'
loop_
_atom_site_label
_atom_site_fract_x
_atom_site_fract_y
_atom_site_fract_z
_atom_site_occupancy
Y1 0.0000 0.0000 0.0000 1
Mn1 0.0000 0.5000 0.5000 1
Mn2 0.5000 0.0000 0.5000 1
Zn1 0.5000 0.5000 0.5000 1
Te1 0.5000 0.5000 0.0000 1
```

Peak list (10 most intense, 2θ from 10° to 90°, in order of falling intensity)
2θ/deg  intensity
31.7  100
38.4  81
51.6  59
33.1  54
26.9  35
55.5  30
18.9  29
43.2  27
66.2  27
82.3  23

# MnZnTe2
Simulated X-ray diffraction stick pattern, CuKα. Input: the PBE geometry in Alexandria.
Neutral-atom scattering factors, no anomalous dispersion.

Structural model:
```
data_MnZnTe2
_cell_length_a 4.4240
_cell_length_b 4.4240
_cell_length_c 6.2766
_cell_angle_alpha 90.00
_cell_angle_beta 90.00
_cell_angle_gamma 90.00
_symmetry_space_group_name_H-M 'P 1'
_symmetry_Int_Tables_number 1
_symmetry_space_group_name_Hall 'P 1'
loop_
_atom_site_label
_atom_site_fract_x
_atom_site_fract_y
_atom_site_fract_z
_atom_site_occupancy
Mn1 0.0000 0.0000 0.0000 1
Zn1 0.5000 0.5000 0.5000 1
Te1 0.0000 0.5000 0.2559 1
Te2 0.5000 0.0000 0.7441 1
```

Peak list (10 most intense, 2θ from 10° to 90°, in order of falling intensity)
2θ/deg  intensity
24.6  100
40.7  70
48.2  32
64.9  19
48.1  16
74.2  15
79.6  10
28.5  9
59.1  8
74.1  8

# MnZn2Te3
Simulated X-ray diffraction stick pattern, CuKα. Input: the PBE geometry in Alexandria.
Neutral-atom scattering factors, no anomalous dispersion.

Structural model:
```
data_MnZn2Te3
_cell_length_a 7.6311
_cell_length_b 7.6311
_cell_length_c 7.6229
_cell_angle_alpha 99.56
_cell_angle_beta 99.56
_cell_angle_gamma 120.06
_symmetry_space_group_name_H-M 'P 1'
_symmetry_Int_Tables_number 1
_symmetry_space_group_name_Hall 'P 1'
loop_
_atom_site_label
_atom_site_fract_x
_atom_site_fract_y
_atom_site_fract_z
_atom_site_occupancy
Mn1 0.0845 0.9155 0.5000 1
Mn2 0.9155 0.0845 0.0000 1
Zn1 0.2518 0.7489 0.0007 1
Zn2 0.4166 0.5829 0.5004 1
Zn3 0.5829 0.4166 0.0004 1
Zn4 0.7489 0.2518 0.5007 1
Te1 0.0416 0.2134 0.3795 1
Te2 0.2134 0.0416 0.8795 1
Te3 0.3797 0.8741 0.3742 1
Te4 0.5383 0.7040 0.8736 1
Te5 0.7040 0.5383 0.3736 1
Te6 0.8741 0.3797 0.8742 1
```

Peak list (10 most intense, 2θ from 10° to 90°, in order of falling intensity)
2θ/deg  intensity
41.0  100
24.8  70
24.8  70
48.5  67
74.7  32
65.3  18
59.4  16
80.0  12
28.7  12
65.3  9